For RbFe2PdBr8, a structure optimized by DFT (PBE) gives the theoretical X-ray diffraction stick pattern in this record (Cu Kα).
Neutral-atom scattering factors, no anomalous dispersion.

Atomic structure:
Cell: 6.662 6.662 10.005 Å, 96.73 96.73 70.27°
Atoms (fractional coordinates):
Rb1 0.000 0.000 0.000
Fe1 0.385 0.385 0.713
Fe2 0.615 0.615 0.287
Pd1 0.000 0.000 0.500
Br1 0.236 0.236 0.514
Br2 0.238 0.733 0.300
Br3 0.267 0.762 0.700
Br4 0.311 0.311 0.922
Br5 0.689 0.689 0.078
Br6 0.733 0.238 0.300
Br7 0.762 0.267 0.700
Br8 0.764 0.764 0.486

Most intense lines, 2θ from 10° to 80°, low angle first:
16.1 deg, I 55
23.8 deg, I 42
28.6 deg, I 40
29.5 deg, I 100
33.2 deg, I 39
47.0 deg, I 54